Entry 1:
Structure and theoretical X-ray powder pattern of In4Te3 (a DFT-relaxed cell (GGA-PBE, Alexandria); Cu Kα (weighted mean of Kα1 and Kα2)).
No peak broadening, texture or thermal motion is included.

Crystal structure
Unit cell a=13.027 b=15.965 c=4.515 alpha=90.00 beta=90.00 gamma=90.00
Element x y z (fractional)
In (0.024, 0.185, 0.000)
In (0.107, 0.428, 0.000)
In (0.146, 0.037, 0.000)
In (0.157, 0.714, 0.000)
In (0.343, 0.214, 0.500)
In (0.354, 0.537, 0.500)
In (0.393, 0.928, 0.500)
In (0.476, 0.685, 0.500)
In (0.524, 0.315, 0.500)
In (0.607, 0.072, 0.500)
In (0.646, 0.463, 0.500)
In (0.657, 0.786, 0.500)
In (0.843, 0.286, 0.000)
In (0.854, 0.963, 0.000)
In (0.893, 0.572, 0.000)
In (0.976, 0.815, 0.000)
Te (0.136, 0.275, 0.500)
Te (0.140, 0.596, 0.500)
Te (0.147, 0.924, 0.500)
Te (0.353, 0.424, 0.000)
Te (0.360, 0.096, 0.000)
Te (0.364, 0.775, 0.000)
Te (0.636, 0.225, 0.000)
Te (0.640, 0.904, 0.000)
Te (0.647, 0.576, 0.000)
Te (0.853, 0.076, 0.500)
Te (0.860, 0.404, 0.500)
Te (0.864, 0.725, 0.500)

Principal peaks in the range 2θ from 5° to 70°, most intense first:
| d [Å] | I (rel.) |
| --- | --- |
| 3.329 | 100 |
| 2.078 | 36 |
| 2.258 | 33 |
| 3.257 | 30 |
| 3.364 | 27 |
| 2.698 | 22 |
| 2.162 | 19 |
| 1.875 | 12 |
| 1.855 | 12 |
| 2.061 | 12 |

***

Entry 2:
Structure and theoretical X-ray powder pattern of InTe (a DFT-relaxed cell (GGA-PBE, Alexandria); Cu Kα (weighted mean of Kα1 and Kα2)).
No peak broadening, texture or thermal motion is included.

Crystal structure
Unit cell a=7.322 b=7.322 c=4.435 alpha=90.00 beta=90.00 gamma=146.12
Element x y z (fractional)
In (0.156, 0.844, 0.750)
In (0.844, 0.156, 0.250)
Te (0.375, 0.625, 0.750)
Te (0.625, 0.375, 0.250)

Principal peaks in the range 2θ from 5° to 70°, most intense first:
| d [Å] | I (rel.) |
| --- | --- |
| 3.003 | 100 |
| 3.502 | 47 |
| 2.071 | 41 |
| 2.568 | 23 |
| 2.218 | 18 |
| 2.133 | 16 |
| 1.874 | 16 |
| 1.389 | 15 |
| 1.822 | 14 |
| 1.408 | 12 |

***

Entry 3:
Structure and theoretical X-ray powder pattern of In2Te5 (a DFT-relaxed cell (GGA-PBE, Alexandria); Cu Kα (weighted mean of Kα1 and Kα2)).
No peak broadening, texture or thermal motion is included.

Crystal structure
Unit cell a=8.836 b=8.836 c=14.139 alpha=90.02 beta=90.02 gamma=151.31
Element x y z (fractional)
In (0.004, 0.996, 0.500)
In (0.385, 0.614, 0.339)
In (0.614, 0.385, 0.839)
In (0.996, 0.004, 0.000)
Te (0.011, 0.987, 0.794)
Te (0.158, 0.842, 0.563)
Te (0.232, 0.767, 0.273)
Te (0.304, 0.694, 0.918)
Te (0.402, 0.599, 0.544)
Te (0.599, 0.402, 0.044)
Te (0.694, 0.304, 0.418)
Te (0.767, 0.232, 0.773)
Te (0.842, 0.158, 0.063)
Te (0.987, 0.011, 0.294)

Principal peaks in the range 2θ from 5° to 70°, most intense first:
| d [Å] | I (rel.) |
| --- | --- |
| 3.153 | 100 |
| 2.144 | 75 |
| 2.190 | 74 |
| 4.096 | 70 |
| 3.118 | 54 |
| 3.535 | 50 |
| 3.373 | 49 |
| 2.697 | 47 |
| 7.070 | 45 |
| 3.474 | 38 |